Entry 1:
The following is a computed powder diffractogram of CaZnO2. It was derived from a DFT-relaxed cell (GGA-PBE, the Materials Project), using Cu Ka.
Intensities are scaled so that the largest is 100.

The 10 most intense peaks (2θ = 10–90°), most intense first:
2θ/deg  intensity
33.3  100
28.9  70
51.2  44
32.7  41
58.7  35
62.1  33
44.2  28
62.5  16
16.2  15
84.9  13

Structural model:
a = 3.5681 Å, b = 3.5681 Å, c = 5.4812 Å
α = 90.00°, β = 90.00°, γ = 120.00°
Fractional coordinates of all 4 atoms:
Ca 0.0000 0.0000 0.0000
Zn 0.3333 0.6667 0.4855
O 0.0000 0.0000 0.5783
O 0.3333 0.6667 0.1260



Entry 2:
The following is a computed powder diffractogram of TlTe3Mo3. It was derived from a DFT-relaxed cell (GGA-PBE, the Materials Project), using Cu Ka.
Intensities are scaled so that the largest is 100.

The 10 most intense peaks (2θ = 10–90°), most intense first:
2θ/deg  intensity
34.2  100
51.2  82
41.9  65
28.7  60
26.6  58
10.5  55
39.0  52
31.8  50
28.0  47
82.8  38

Structural model:
a = 9.7387 Å, b = 9.7387 Å, c = 4.6201 Å
α = 90.00°, β = 90.00°, γ = 120.00°
Fractional coordinates of all 14 atoms:
Tl 0.3333 0.6667 0.2500
Tl 0.6667 0.3333 0.7500
Te 0.0568 0.3613 0.7500
Te 0.3045 0.9432 0.7500
Te 0.3613 0.3045 0.2500
Te 0.6387 0.6955 0.7500
Te 0.6955 0.0568 0.2500
Te 0.9432 0.6387 0.2500
Mo 0.0266 0.1697 0.2500
Mo 0.1430 0.9734 0.2500
Mo 0.1697 0.1430 0.7500
Mo 0.8303 0.8570 0.2500
Mo 0.8570 0.0266 0.7500
Mo 0.9734 0.8303 0.7500



Entry 3:
The following is a computed powder diffractogram of Rb2InAuF6. It was derived from a DFT-relaxed cell (GGA-PBE, the Materials Project), using Cu Ka.
Intensities are scaled so that the largest is 100.

The 10 most intense peaks (2θ = 10–90°), most intense first:
2θ/deg  intensity
27.5  100
48.6  42
39.3  34
77.9  22
56.8  22
64.2  19
19.3  19
44.1  9
71.2  7
32.4  5

Structural model:
a = 6.4883 Å, b = 6.4883 Å, c = 6.4883 Å
α = 60.00°, β = 60.00°, γ = 60.00°
Fractional coordinates of all 10 atoms:
Rb 0.2500 0.2500 0.2500
Rb 0.7500 0.7500 0.7500
In 0.0000 0.0000 0.0000
Au 0.5000 0.5000 0.5000
F 0.2299 0.2299 0.7701
F 0.2299 0.7701 0.2299
F 0.2299 0.7701 0.7701
F 0.7701 0.2299 0.2299
F 0.7701 0.2299 0.7701
F 0.7701 0.7701 0.2299



Entry 4:
The following is a computed powder diffractogram of RbAlH8N4. It was derived from a DFT-relaxed cell (GGA-PBE, the Materials Project), using Cu Ka.
Intensities are scaled so that the largest is 100.

The 10 most intense peaks (2θ = 10–90°), most intense first:
2θ/deg  intensity
23.9  100
23.1  57
31.3  46
41.1  46
37.0  39
33.0  22
44.1  15
29.0  15
53.3  14
42.4  12

Structural model:
a = 7.6870 Å, b = 7.6870 Å, c = 5.1266 Å
α = 90.00°, β = 90.00°, γ = 90.00°
Fractional coordinates of all 28 atoms:
Rb 0.2500 0.2500 0.0766
Rb 0.7500 0.7500 0.9234
Al 0.2500 0.7500 0.5000
Al 0.7500 0.2500 0.5000
H 0.0159 0.4163 0.6716
H 0.0837 0.0159 0.6716
H 0.1138 0.8713 0.9063
H 0.1287 0.6138 0.0937
H 0.3713 0.8862 0.0937
H 0.3862 0.6287 0.9063
H 0.4163 0.4841 0.6716
H 0.4841 0.0837 0.6716
H 0.5159 0.9163 0.3284
H 0.5837 0.5159 0.3284
H 0.6138 0.3713 0.0937
H 0.6287 0.1138 0.9063
H 0.8713 0.3862 0.9063
H 0.8862 0.1287 0.0937
H 0.9163 0.9841 0.3284
H 0.9841 0.5837 0.3284
N 0.0836 0.6620 0.2671
N 0.1620 0.9164 0.7329
N 0.3380 0.5836 0.7329
N 0.4164 0.8380 0.2671
N 0.5836 0.1620 0.7329
N 0.6620 0.4164 0.2671
N 0.8380 0.0836 0.2671
N 0.9164 0.3380 0.7329



Entry 5:
The following is a computed powder diffractogram of Ce3Si6N11. It was derived from a DFT-relaxed cell (GGA-PBE, the Materials Project), using Cu Ka.
Intensities are scaled so that the largest is 100.

The 10 most intense peaks (2θ = 10–90°), most intense first:
2θ/deg  intensity
33.4  100
18.2  76
30.9  69
26.8  63
36.8  47
36.5  42
27.8  39
41.0  33
52.8  31
46.7  24

Structural model:
a = 10.1574 Å, b = 10.1574 Å, c = 4.8854 Å
α = 90.00°, β = 90.00°, γ = 90.00°
Fractional coordinates of all 40 atoms:
Ce 0.0000 0.0000 0.0000
Ce 0.1811 0.3189 0.9898
Ce 0.3189 0.8189 0.9898
Ce 0.5000 0.5000 0.0000
Ce 0.6811 0.1811 0.9898
Ce 0.8189 0.6811 0.9898
Si 0.0788 0.7910 0.4606
Si 0.1172 0.6172 0.9499
Si 0.2090 0.0788 0.4606
Si 0.2910 0.5788 0.4606
Si 0.3828 0.1172 0.9499
Si 0.4212 0.2910 0.4606
Si 0.5788 0.7090 0.4606
Si 0.6172 0.8828 0.9499
Si 0.7090 0.4212 0.4606
Si 0.7910 0.9212 0.4606
Si 0.8828 0.3828 0.9499
Si 0.9212 0.2090 0.4606
N 0.0000 0.5000 0.9218
N 0.0753 0.7703 0.8140
N 0.0797 0.1790 0.3477
N 0.1534 0.6534 0.2967
N 0.1790 0.9203 0.3477
N 0.2297 0.0753 0.8140
N 0.2703 0.5753 0.8140
N 0.3210 0.4203 0.3477
N 0.3466 0.1534 0.2967
N 0.4203 0.6790 0.3477
N 0.4247 0.2703 0.8140
N 0.5000 0.0000 0.9218
N 0.5753 0.7297 0.8140
N 0.5797 0.3210 0.3477
N 0.6534 0.8466 0.2967
N 0.6790 0.5797 0.3477
N 0.7297 0.4247 0.8140
N 0.7703 0.9247 0.8140
N 0.8210 0.0797 0.3477
N 0.8466 0.3466 0.2967
N 0.9203 0.8210 0.3477
N 0.9247 0.2297 0.8140



Entry 6:
The following is a computed powder diffractogram of SmYB12. It was derived from a DFT-relaxed cell (GGA-PBE, the Materials Project), using Cu Ka.
Intensities are scaled so that the largest is 100.

The 10 most intense peaks (2θ = 10–90°), most intense first:
2θ/deg  intensity
30.8  100
21.6  58
49.6  48
37.9  43
68.5  28
54.7  25
44.1  22
72.8  20
89.1  17
76.9  12

Structural model:
a = 4.1099 Å, b = 4.1099 Å, c = 8.2240 Å
α = 90.00°, β = 90.00°, γ = 90.00°
Fractional coordinates of all 14 atoms:
Sm 0.0000 0.0000 0.0000
Y 0.0000 0.0000 0.5000
B 0.1993 0.5000 0.2503
B 0.1993 0.5000 0.7497
B 0.5000 0.1993 0.2503
B 0.5000 0.1993 0.7497
B 0.5000 0.5000 0.0997
B 0.5000 0.5000 0.4006
B 0.5000 0.5000 0.5994
B 0.5000 0.5000 0.9003
B 0.5000 0.8007 0.2503
B 0.5000 0.8007 0.7497
B 0.8007 0.5000 0.2503
B 0.8007 0.5000 0.7497